1.
Simulated PXRD pattern
Compound: Cu2PHO5
Radiation: Cu Kα (weighted mean of Kα1 and Kα2)
Structure: the PBE geometry in the Materials Project
Neutral-atom scattering factors, no anomalous dispersion.

Peak list (10 most intense, 15° ≤ 2θ ≤ 90°, by angle)
- 5.885 Å, intensity 100, hkl 1 1 0
- 4.888 Å, intensity 94, hkl 0 1 1
- 4.811 Å, intensity 78, hkl 1 0 1
- 3.775 Å, intensity 59, hkl 1 2 0
- 2.942 Å, intensity 93, hkl 2 2 0
- 2.682 Å, intensity 60, hkl 1 3 0
- 2.661 Å, intensity 93, hkl 1 1 2
- 2.584 Å, intensity 43, hkl 3 1 0
- 2.445 Å, intensity 50, hkl 1 3 1
- 1.734 Å, intensity 41, hkl 0 4 2

Structure:
Lattice parameters (Å, degrees): 8.1357 8.5225 5.9666 90.00 90.00 90.00
Space group Pnnm (No. 58)
One atom of each set of equivalent atoms:
Cu: 0.0000 0.0000 0.2488 x4
Cu: 0.1385 0.3714 0.0000 x4
P: 0.2324 0.7535 0.0000 x4
H: 0.0765 0.7917 0.5000 x4
O: 0.1017 0.6186 0.0000 x4
O: 0.1245 0.8978 0.5000 x4
O: 0.1365 0.9144 0.0000 x4
O: 0.1579 0.2414 0.2896 x8

=====

2.
Simulated PXRD pattern
Compound: Cu9P4H2O20
Radiation: Cu Kα (weighted mean of Kα1 and Kα2)
Structure: the PBE geometry in the Materials Project
Neutral-atom scattering factors, no anomalous dispersion.

Peak list (10 most intense, 15° ≤ 2θ ≤ 90°, by angle)
- 4.198 Å, intensity 40, hkl 1 1 0
- 3.747 Å, intensity 36, hkl 1 0 -2
- 3.722 Å, intensity 100, hkl 0 2 0
- 3.122 Å, intensity 55, hkl 1 2 -2
- 2.775 Å, intensity 45, hkl 0 2 -3
- 2.639 Å, intensity 74, hkl 0 0 3
- 2.623 Å, intensity 36, hkl 2 1 -2
- 2.600 Å, intensity 75, hkl 2 -1 1
- 2.428 Å, intensity 35, hkl -2 1 2
- 2.388 Å, intensity 57, hkl 1 2 1

Structure:
Lattice parameters (Å, degrees): 5.9559 8.2353 8.9325 113.34 102.10 94.31
Space group P-1 (No. 2)
One atom of each set of equivalent atoms:
Cu: 0.0000 0.0000 0.0000 x1
Cu: 0.0264 0.3204 0.3563 x2
Cu: 0.1813 0.3977 0.0555 x2
Cu: 0.3185 0.2202 0.6822 x2
Cu: 0.4357 0.1806 0.2915 x2
P: 0.2007 0.7524 0.4070 x2
P: 0.3368 0.7285 0.9696 x2
H: 0.1367 0.0446 0.3841 x2
O: 0.0117 0.8290 0.3183 x2
O: 0.0865 0.5978 0.4399 x2
O: 0.1536 0.5676 0.9454 x2
O: 0.1647 0.2385 0.1663 x2
O: 0.2277 0.1714 0.4385 x2
O: 0.2713 0.9099 0.0756 x2
O: 0.3328 0.9049 0.5820 x2
O: 0.3338 0.7125 0.7902 x2
O: 0.3662 0.6712 0.2949 x2
O: 0.4156 0.2804 0.9366 x2

=====

3.
Simulated PXRD pattern
Compound: CuPH5O5
Radiation: Cu Kα (weighted mean of Kα1 and Kα2)
Structure: the PBE geometry in the Materials Project
Neutral-atom scattering factors, no anomalous dispersion.

Peak list (10 most intense, 15° ≤ 2θ ≤ 90°, by angle)
- 5.595 Å, intensity 100, hkl 0 1 1
- 4.895 Å, intensity 38, hkl 1 1 -1
- 3.659 Å, intensity 15, hkl 0 1 2
- 3.228 Å, intensity 14, hkl 2 0 -2
- 3.104 Å, intensity 14, hkl 1 0 2
- 2.826 Å, intensity 61, hkl 1 2 -2
- 2.626 Å, intensity 35, hkl 2 1 1
- 2.268 Å, intensity 11, hkl 2 0 2
- 2.208 Å, intensity 11, hkl 1 1 3
- 1.916 Å, intensity 12, hkl 1 3 -3

Structure:
Lattice parameters (Å, degrees): 7.1714 7.5187 8.9317 90.00 110.31 90.00
Space group P2_1/c (No. 14)
One atom of each set of equivalent atoms:
Cu: 0.2253 0.0248 0.0900 x4
P: 0.0882 0.7253 0.8303 x4
H: 0.1127 0.5731 0.9272 x4
H: 0.2777 0.2464 0.3905 x4
H: 0.3663 0.5692 0.2455 x4
H: 0.4183 0.0862 0.6481 x4
H: 0.4935 0.1917 0.0118 x4
O: 0.1142 0.6747 0.6722 x4
O: 0.1263 0.2061 0.2054 x4
O: 0.2510 0.6373 0.4202 x4
O: 0.3558 0.2235 0.0052 x4
O: 0.4726 0.5206 0.2125 x4

=====

4.
Simulated PXRD pattern
Compound: CuP2H4O6
Radiation: Cu Kα (weighted mean of Kα1 and Kα2)
Structure: the PBE geometry in the Materials Project
Neutral-atom scattering factors, no anomalous dispersion.

Peak list (10 most intense, 15° ≤ 2θ ≤ 90°, by angle)
- 5.693 Å, intensity 70, hkl 1 1 -1
- 4.742 Å, intensity 79, hkl 0 2 0
- 4.100 Å, intensity 66, hkl 1 2 0
- 3.970 Å, intensity 37, hkl 2 1 -1
- 3.946 Å, intensity 49, hkl 1 2 -1
- 3.812 Å, intensity 97, hkl 0 0 2
- 3.537 Å, intensity 54, hkl 0 1 2
- 3.214 Å, intensity 100, hkl 2 2 -1
- 2.969 Å, intensity 46, hkl 2 1 1
- 2.378 Å, intensity 41, hkl 1 2 -3

Structure:
Lattice parameters (Å, degrees): 8.8515 9.4846 8.2739 90.00 112.85 90.00
Space group P2_1/c (No. 14)
One atom of each set of equivalent atoms:
Cu: 0.1812 0.1021 0.1529 x4
P: 0.0053 0.6516 0.7794 x4
P: 0.4504 0.0172 0.7552 x4
H: 0.0417 0.0811 0.5972 x4
H: 0.2573 0.0108 0.8671 x4
H: 0.2765 0.5201 0.9696 x4
H: 0.4885 0.6493 0.6738 x4
O: 0.0008 0.6892 0.3157 x4
O: 0.1305 0.1067 0.8997 x4
O: 0.1766 0.5975 0.8009 x4
O: 0.3338 0.0559 0.5638 x4
O: 0.3491 0.5493 0.3545 x4
O: 0.4141 0.0865 0.2321 x4

=====

5.
Simulated PXRD pattern
Compound: CuP2H4O4
Radiation: Cu Kα (weighted mean of Kα1 and Kα2)
Structure: the PBE geometry in the Materials Project
Neutral-atom scattering factors, no anomalous dispersion.

Peak list (10 most intense, 15° ≤ 2θ ≤ 90°, by angle)
- 4.468 Å, intensity 19, hkl 1 1 0
- 4.235 Å, intensity 18, hkl 0 1 1
- 3.587 Å, intensity 100, hkl 1 1 1
- 3.134 Å, intensity 37, hkl 1 0 -2
- 2.919 Å, intensity 16, hkl 2 1 -1
- 2.773 Å, intensity 19, hkl 0 2 0
- 2.723 Å, intensity 36, hkl 2 1 1
- 2.603 Å, intensity 14, hkl 1 2 0
- 2.034 Å, intensity 16, hkl 0 1 3
- 1.567 Å, intensity 13, hkl 2 0 -4

Structure:
Lattice parameters (Å, degrees): 7.5846 5.5460 6.5976 90.00 96.20 90.00
Space group P2_1/c (No. 14)
One atom of each set of equivalent atoms:
Cu: 0.0000 0.0000 0.0000 x2
P: 0.2495 0.0605 0.6574 x4
H: 0.2852 0.5731 0.9842 x4
H: 0.4106 0.0559 0.7874 x4
O: 0.1053 0.5853 0.2490 x4
O: 0.2175 0.1744 0.1008 x4

=====

6.
Simulated PXRD pattern
Compound: CuP2H4O4
Radiation: Cu Kα (weighted mean of Kα1 and Kα2)
Structure: the PBE geometry in the Materials Project
Neutral-atom scattering factors, no anomalous dispersion.

Peak list (10 most intense, 15° ≤ 2θ ≤ 90°, by angle)
- 5.452 Å, intensity 100, hkl 0 1 0
- 3.667 Å, intensity 74, hkl 1 1 1
- 3.217 Å, intensity 34, hkl 1 0 2
- 2.866 Å, intensity 37, hkl 2 1 0
- 2.726 Å, intensity 30, hkl 0 2 0
- 2.669 Å, intensity 80, hkl 2 1 1
- 2.228 Å, intensity 30, hkl 0 1 3
- 2.036 Å, intensity 27, hkl 2 2 1
- 1.834 Å, intensity 17, hkl 2 2 2
- 1.385 Å, intensity 22, hkl 2 2 4

Structure:
Lattice parameters (Å, degrees): 6.7391 5.4518 7.3229 90.00 90.00 90.00
Space group Pmma (No. 51)
One atom of each set of equivalent atoms:
Cu: 0.0000 0.0000 0.0000 x2
P: 0.2500 0.0000 0.3628 x2
P: 0.2500 0.5000 0.8558 x2
H: 0.0836 0.5000 0.7382 x4
H: 0.2500 0.2032 0.4825 x4
O: 0.0528 0.0000 0.2592 x4
O: 0.2500 0.2607 0.9655 x4

=====

7.
Simulated PXRD pattern
Compound: CuH2PbSO6
Radiation: Cu Kα (weighted mean of Kα1 and Kα2)
Structure: the PBE geometry in the Materials Project
Neutral-atom scattering factors, no anomalous dispersion.

Peak list (10 most intense, 15° ≤ 2θ ≤ 90°, by angle)
- 4.934 Å, intensity 48, hkl 0 1 1
- 4.617 Å, intensity 72, hkl 1 0 -1
- 3.699 Å, intensity 27, hkl 0 1 2
- 3.600 Å, intensity 74, hkl 1 1 0
- 3.228 Å, intensity 66, hkl 0 0 3
- 3.185 Å, intensity 100, hkl 1 1 -2
- 2.749 Å, intensity 30, hkl 0 2 1
- 2.657 Å, intensity 36, hkl 1 1 -3
- 2.296 Å, intensity 29, hkl 1 2 1
- 1.711 Å, intensity 26, hkl 2 2 -3

Structure:
Lattice parameters (Å, degrees): 4.7580 5.7346 9.9629 90.00 103.62 90.00
Space group P2_1/m (No. 11)
One atom of each set of equivalent atoms:
Cu: 0.0000 0.0000 0.0000 x2
H: 0.3847 0.2500 0.1319 x2
H: 0.4486 0.7500 0.0573 x2
Pb: 0.3192 0.7500 0.3412 x2
S: 0.1128 0.7500 0.6667 x2
O: 0.0547 0.5368 0.7445 x4
O: 0.0689 0.2500 0.4757 x2
O: 0.2681 0.7500 0.0939 x2
O: 0.2874 0.2500 0.0330 x2
O: 0.4274 0.7500 0.6670 x2

=====

8.
Simulated PXRD pattern
Compound: Rb2Cu4H5S4O20
Radiation: Cu Kα (weighted mean of Kα1 and Kα2)
Structure: the PBE geometry in the Materials Project
Neutral-atom scattering factors, no anomalous dispersion.

Peak list (10 most intense, 15° ≤ 2θ ≤ 90°, by angle)
- 4.932 Å, intensity 23, hkl 1 1 0
- 4.633 Å, intensity 57, hkl 0 1 -1
- 3.686 Å, intensity 34, hkl 0 2 0
- 3.432 Å, intensity 42, hkl 1 2 1
- 3.361 Å, intensity 38, hkl -1 2 1
- 2.968 Å, intensity 41, hkl 2 1 1
- 2.921 Å, intensity 100, hkl 0 1 3
- 2.535 Å, intensity 39, hkl 2 0 2
- 2.466 Å, intensity 26, hkl 2 2 0
- 2.412 Å, intensity 24, hkl 2 -2 0

Structure:
Lattice parameters (Å, degrees): 6.5058 7.9903 8.7638 67.36 89.50 88.64
Space group P-1 (No. 2)
One atom of each set of equivalent atoms:
Rb: 0.0000 0.0000 0.0000 x1
Rb: 0.5000 0.5000 0.5000 x1
Cu: 0.2473 0.7481 0.7486 x2
Cu: 0.2489 0.2463 0.2552 x2
H: 0.0001 0.4874 0.1992 x2
H: 0.4954 0.9972 0.7062 x2
H: 0.5000 0.0000 0.5000 x1
S: 0.0025 0.7896 0.4250 x2
S: 0.4988 0.7098 0.0709 x2
O: 0.0015 0.0131 0.6727 x2
O: 0.0033 0.3810 0.1681 x2
O: 0.0047 0.6833 0.3213 x2
O: 0.1911 0.2596 0.4680 x2
O: 0.1923 0.7387 0.5332 x2
O: 0.3094 0.7619 0.9626 x2
O: 0.3107 0.2391 0.0379 x2
O: 0.4972 0.4877 0.8288 x2
O: 0.4966 0.8156 0.1758 x2
O: 0.4993 0.9100 0.6509 x2